Structure and simulated powder X-ray diffraction pattern of Ho3Ge3Rh2 (DFT lattice parameters and positions (GGA-PBE); Cu Kα, 1.54184 Å).
Peak positions follow from Bragg's law for the DFT cell and can differ from measured ones.

Structural model:
a b c (Å): 8.1013 14.1775 5.6396
angles (deg): 90.00 90.00 90.00
Space group Pnma (No. 62)
Unique sites:
Ho (0.0408, 0.1127, 0.1216)
Ho (0.1887, 0.2500, 0.6337)
Ge (0.1684, 0.7500, 0.6144)
Ge (0.2027, 0.0370, 0.6242)
Rh (0.0770, 0.5988, 0.3828)

Main lines, sorted by position (10 to 90 degrees two-theta):
| 2θ (°) | d/Å | Rel. int. | (hkl) |
| --- | --- | --- | --- |
| 33.61 | 2.666 | 1000 | 2 4 0 |
| 34.26 | 2.617 | 485 | 1 1 2 |
| 36.91 | 2.436 | 249 | 3 0 1 |
| 37.29 | 2.411 | 413 | 2 4 1 |
| 37.47 | 2.400 | 203 | 3 1 1 |
| 38.08 | 2.363 | 215 | 0 6 0 |
| 38.81 | 2.320 | 584 | 1 3 2 |
| 42.46 | 2.129 | 199 | 1 4 2 |
| 47.71 | 1.906 | 285 | 4 0 1 |
| 57.14 | 1.612 | 195 | 1 7 2 |

***

Structure and simulated powder X-ray diffraction pattern of Ho2SiGeRh6 (DFT lattice parameters and positions (GGA-PBE); Cu Kα, 1.54184 Å).
Peak positions follow from Bragg's law for the DFT cell and can differ from measured ones.

Structural model:
a b c (Å): 9.0088 9.0088 9.0088
angles (deg): 90.00 90.00 90.00
Space group Fm-3m (No. 225)
Unique sites:
Ho (0.2500, 0.2500, 0.2500)
Si (0.0000, 0.0000, 0.0000)
Ge (0.0000, 0.0000, 0.5000)
Rh (0.0000, 0.0000, 0.2453)

Main lines, sorted by position (10 to 90 degrees two-theta):
| 2θ (°) | d/Å | Rel. int. | (hkl) |
| --- | --- | --- | --- |
| 28.01 | 3.185 | 167 | 2 2 0 |
| 34.49 | 2.601 | 1000 | 2 2 2 |
| 40.03 | 2.252 | 765 | 4 0 0 |
| 49.57 | 1.839 | 70 | 4 2 2 |
| 57.90 | 1.593 | 511 | 4 4 0 |
| 65.53 | 1.424 | 32 | 6 2 0 |
| 69.17 | 1.358 | 385 | 6 2 2 |
| 72.72 | 1.300 | 171 | 4 4 4 |
| 79.64 | 1.204 | 37 | 6 4 2 |
| 86.41 | 1.126 | 82 | 8 0 0 |

***

Structure and simulated powder X-ray diffraction pattern of HoGe3Ru5 (DFT lattice parameters and positions (GGA-PBE); Cu Kα, 1.54184 Å).
Peak positions follow from Bragg's law for the DFT cell and can differ from measured ones.

Structural model:
a b c (Å): 3.0291 13.4552 14.2439
angles (deg): 90.00 90.00 90.00
Space group Cmcm (No. 63)
Unique sites:
Ho (0.0000, 0.1474, 0.2500)
Ge (0.0000, 0.1463, 0.7500)
Ge (0.0000, 0.3666, 0.5580)
Ru (0.0000, 0.0000, 0.0000)
Ru (0.0000, 0.1889, 0.5809)
Ru (0.0000, 0.4699, 0.1544)

Main lines, sorted by position (10 to 90 degrees two-theta):
| 2θ (°) | d/Å | Rel. int. | (hkl) |
| --- | --- | --- | --- |
| 35.78 | 2.509 | 1000 | 1 3 0 |
| 38.01 | 2.367 | 650 | 1 3 2 |
| 39.63 | 2.274 | 491 | 1 1 4 |
| 40.26 | 2.240 | 761 | 0 6 0 |
| 40.73 | 2.215 | 208 | 0 6 1 |
| 46.88 | 1.938 | 591 | 0 4 6 |
| 49.20 | 1.852 | 332 | 1 5 3 |
| 61.20 | 1.515 | 223 | 2 0 0 |
| 62.93 | 1.477 | 163 | 1 7 4 |
| 75.82 | 1.255 | 228 | 2 6 0 |

***

Structure and simulated powder X-ray diffraction pattern of Ho5GeRu2 (DFT lattice parameters and positions (GGA-PBE); Cu Kα, 1.54184 Å).
Peak positions follow from Bragg's law for the DFT cell and can differ from measured ones.

Structural model:
a b c (Å): 7.5974 7.5974 13.1161
angles (deg): 90.00 90.00 90.00
Space group I4/mcm (No. 140)
Unique sites:
Ho (0.0000, 0.0000, 0.0000)
Ho (0.1613, 0.3387, 0.1393)
Ge (0.0000, 0.0000, 0.2500)
Ru (0.1379, 0.3621, 0.5000)

Main lines, sorted by position (10 to 90 degrees two-theta):
| 2θ (°) | d/Å | Rel. int. | (hkl) |
| --- | --- | --- | --- |
| 27.12 | 3.288 | 156 | 0 0 4 |
| 31.98 | 2.799 | 153 | 1 1 4 |
| 33.40 | 2.683 | 1000 | 2 1 3 |
| 36.19 | 2.482 | 243 | 2 0 4 |
| 37.43 | 2.402 | 469 | 3 1 0 |
| 43.58 | 2.077 | 143 | 2 1 5 |
| 53.99 | 1.698 | 192 | 4 2 0 |
| 56.07 | 1.640 | 135 | 0 0 8 |
| 58.75 | 1.572 | 126 | 3 3 4 |
| 70.09 | 1.343 | 184 | 5 2 3 |

***

Structure and simulated powder X-ray diffraction pattern of Ho3Ge4Ru2 (DFT lattice parameters and positions (GGA-PBE); Cu Kα, 1.54184 Å).
Peak positions follow from Bragg's law for the DFT cell and can differ from measured ones.

Structural model:
a b c (Å): 10.6611 4.3481 8.1487
angles (deg): 90.00 109.73 90.00
Space group C2/m (No. 12)
Unique sites:
Ho (0.0000, 0.0000, 0.0000)
Ho (0.1239, 0.5000, 0.6963)
Ge (0.0922, 0.0000, 0.4034)
Ge (0.2132, 0.5000, 0.0777)
Ru (0.1802, 0.5000, 0.3598)

Main lines, sorted by position (10 to 90 degrees two-theta):
| 2θ (°) | d/Å | Rel. int. | (hkl) |
| --- | --- | --- | --- |
| 23.72 | 3.752 | 238 | 1 1 -1 |
| 32.65 | 2.743 | 537 | 3 1 -1 |
| 33.56 | 2.670 | 388 | 2 0 -3 |
| 33.81 | 2.651 | 1000 | 3 1 0 |
| 34.55 | 2.596 | 622 | 1 1 2 |
| 35.10 | 2.557 | 458 | 0 0 3 |
| 41.52 | 2.175 | 870 | 0 2 0 |
| 42.02 | 2.150 | 588 | 3 1 -3 |
| 55.48 | 1.656 | 245 | 0 2 3 |
| 64.92 | 1.436 | 242 | 7 1 -2 |

***

Structure and simulated powder X-ray diffraction pattern of HoGe3Ru3 (DFT lattice parameters and positions (GGA-PBE); Cu Kα, 1.54184 Å).
Peak positions follow from Bragg's law for the DFT cell and can differ from measured ones.

Structural model:
a b c (Å): 6.7223 6.7223 20.1924
angles (deg): 90.00 90.00 120.00
Space group R-3 (No. 148, hexagonal axes)
Unique sites:
Ho (0.0000, 0.0000, 0.1681)
Ge (0.0483, 0.4310, 0.2574)
Ru (0.0258, 0.2614, 0.7140)

Main lines, sorted by position (10 to 90 degrees two-theta):
| 2θ (°) | d/Å | Rel. int. | (hkl) |
| --- | --- | --- | --- |
| 17.59 | 5.043 | 473 | 0 1 2 |
| 29.71 | 3.007 | 1000 | 1 1 3 |
| 34.71 | 2.585 | 231 | 1 0 7 |
| 37.83 | 2.378 | 862 | 2 -1 6 |
| 40.19 | 2.244 | 364 | 0 0 9 |
| 41.27 | 2.187 | 951 | 2 1 1 |
| 42.03 | 2.150 | 292 | 3 -2 2 |
| 46.81 | 1.941 | 256 | 3 0 0 |
| 48.81 | 1.866 | 267 | 1 1 9 |
| 55.39 | 1.659 | 375 | 3 -2 8 |